For CsSn4Br12, a cell relaxed with PBE gives the theoretical X-ray diffraction stick pattern in this record (Cu Kα).
Kinematic intensities with the Lorentz-polarization factor, no thermal factor.

a = 9.3986 Å, b = 9.3986 Å, c = 9.3986 Å
α = 109.47°, β = 109.47°, γ = 109.47°
Sites, in units of the cell vectors:
Cs  0.0000  0.0000  0.0000
Sn  0.0000  0.0000  0.5000
Sn  0.0000  0.5000  0.0000
Sn  0.5000  0.0000  0.0000
Sn  0.5000  0.5000  0.5000
Br  0.1081  0.8098  0.2983
Br  0.1902  0.2983  0.4886
Br  0.1902  0.7017  0.8919
Br  0.2983  0.1081  0.8098
Br  0.2983  0.4886  0.1902
Br  0.4886  0.1902  0.2983
Br  0.5114  0.8098  0.7017
Br  0.7017  0.5114  0.8098
Br  0.7017  0.8919  0.1902
Br  0.8098  0.2983  0.1081
Br  0.8098  0.7017  0.5114
Br  0.8919  0.1902  0.7017

Top 6 peaks for 2θ = 15–90°, most intense first:
d 5.426, 16.3 deg, I = 100
d 3.432, 26.0 deg, I = 92
d 2.900, 30.8 deg, I = 90
d 2.713, 33.0 deg, I = 73
d 2.215, 40.7 deg, I = 71
d 2.427, 37.0 deg, I = 67

For Na2Ga6Pt, a cell relaxed with PBE gives the theoretical X-ray diffraction stick pattern in this record (Cu Kα).
Kinematic intensities with the Lorentz-polarization factor, no thermal factor.

a = 5.7811 Å, b = 5.7811 Å, c = 5.9922 Å
α = 90.23°, β = 90.23°, γ = 59.68°
Sites, in units of the cell vectors:
Na  0.1664  0.1664  0.1248
Na  0.8336  0.8336  0.8752
Ga  0.1544  0.6730  0.3272
Ga  0.3268  0.3268  0.6718
Ga  0.3270  0.8456  0.6728
Ga  0.6730  0.1544  0.3272
Ga  0.6732  0.6732  0.3282
Ga  0.8456  0.3270  0.6728
Pt  0.5000  0.5000  0.0000

Top 6 peaks for 2θ = 15–90°, most intense first:
d 2.307, 39.0 deg, I = 100
d 4.999, 17.7 deg, I = 84
d 2.596, 34.5 deg, I = 39
d 3.840, 23.2 deg, I = 37
d 1.915, 47.5 deg, I = 32
d 2.566, 35.0 deg, I = 22

For CsTl2Br2Cl, a cell relaxed with PBE gives the theoretical X-ray diffraction stick pattern in this record (Cu Kα).
Kinematic intensities with the Lorentz-polarization factor, no thermal factor.

a = 4.8542 Å, b = 7.6361 Å, c = 13.2213 Å
α = 90.00°, β = 90.00°, γ = 90.00°
Sites, in units of the cell vectors:
Cs  0.2500  0.2500  0.0663
Cs  0.7500  0.7500  0.9337
Tl  0.2500  0.5152  0.3571
Tl  0.2500  0.9848  0.3571
Tl  0.7500  0.0152  0.6429
Tl  0.7500  0.4848  0.6429
Br  0.2500  0.7500  0.1289
Br  0.2500  0.7500  0.7287
Br  0.7500  0.2500  0.2713
Br  0.7500  0.2500  0.8711
Cl  0.2500  0.2500  0.5409
Cl  0.7500  0.7500  0.4591

Top 6 peaks for 2θ = 15–90°, most intense first:
d 2.733, 32.8 deg, I = 100
d 4.557, 19.5 deg, I = 50
d 3.668, 24.3 deg, I = 37
d 3.263, 27.3 deg, I = 32
d 2.927, 30.5 deg, I = 24
d 4.407, 20.1 deg, I = 24

For Pm3ZnNi2, a cell relaxed with PBE gives the theoretical X-ray diffraction stick pattern in this record (Cu Kα).
Kinematic intensities with the Lorentz-polarization factor, no thermal factor.

a = 8.2786 Å, b = 8.2786 Å, c = 9.1584 Å
α = 90.00°, β = 90.00°, γ = 114.36°
Sites, in units of the cell vectors:
Pm  0.0904  0.3379  0.5486
Pm  0.1621  0.4096  0.9514
Pm  0.1631  0.8369  0.7806
Pm  0.3369  0.6631  0.2806
Pm  0.3379  0.0904  0.4514
Pm  0.4096  0.1621  0.0486
Pm  0.5904  0.8379  0.9514
Pm  0.6621  0.9096  0.5486
Pm  0.6631  0.3369  0.7194
Pm  0.8369  0.1631  0.2194
Pm  0.8379  0.5904  0.0486
Pm  0.9096  0.6621  0.4514
Zn  0.0504  0.9496  0.1837
Zn  0.4496  0.5504  0.6837
Zn  0.5504  0.4496  0.3163
Zn  0.9496  0.0504  0.8163
Ni  0.2171  0.2829  0.2500
Ni  0.2168  0.7832  0.0566
Ni  0.2829  0.2171  0.7500
Ni  0.2832  0.7168  0.5566
Ni  0.7168  0.2832  0.4434
Ni  0.7171  0.7829  0.2500
Ni  0.7832  0.2168  0.9434
Ni  0.7829  0.7171  0.7500

Top 6 peaks for 2θ = 15–90°, most intense first:
d 2.357, 38.2 deg, I = 100
d 2.796, 32.0 deg, I = 90
d 3.483, 25.6 deg, I = 80
d 3.205, 27.8 deg, I = 74
d 2.243, 40.2 deg, I = 48
d 2.633, 34.0 deg, I = 47

For Ho5InAu4, a cell relaxed with PBE gives the theoretical X-ray diffraction stick pattern in this record (Cu Kα).
Kinematic intensities with the Lorentz-polarization factor, no thermal factor.

a = 3.5719 Å, b = 3.5719 Å, c = 18.5697 Å
α = 90.00°, β = 90.00°, γ = 90.00°
Sites, in units of the cell vectors:
Ho  0.0000  0.0000  0.0000
Ho  0.0000  0.0000  0.1945
Ho  0.0000  0.0000  0.3874
Ho  0.0000  0.0000  0.6126
Ho  0.0000  0.0000  0.8055
In  0.5000  0.5000  0.5000
Au  0.5000  0.5000  0.0969
Au  0.5000  0.5000  0.2935
Au  0.5000  0.5000  0.7065
Au  0.5000  0.5000  0.9031

Top 6 peaks for 2θ = 15–90°, most intense first:
d 2.574, 34.8 deg, I = 100
d 2.526, 35.5 deg, I = 50
d 1.467, 63.4 deg, I = 36
d 1.786, 51.1 deg, I = 18
d 1.496, 62.0 deg, I = 17
d 1.287, 73.6 deg, I = 10

For PmPr3Dy2Te6, a cell relaxed with PBE gives the theoretical X-ray diffraction stick pattern in this record (Cu Kα).
Kinematic intensities with the Lorentz-polarization factor, no thermal factor.

a = 10.0049 Å, b = 10.0049 Å, c = 9.0111 Å
α = 103.76°, β = 103.76°, γ = 25.52°
Sites, in units of the cell vectors:
Pm  0.0000  0.0000  0.0000
Pr  0.0000  0.0000  0.5000
Pr  0.3371  0.3371  0.1678
Pr  0.6629  0.6629  0.8322
Dy  0.3347  0.3347  0.6696
Dy  0.6653  0.6653  0.3304
Te  0.1674  0.1674  0.0931
Te  0.1707  0.1707  0.5749
Te  0.4954  0.4954  0.7510
Te  0.5046  0.5046  0.2490
Te  0.8293  0.8293  0.4251
Te  0.8326  0.8326  0.9069

Top 6 peaks for 2θ = 15–90°, most intense first:
d 3.155, 28.3 deg, I = 100
d 2.241, 40.2 deg, I = 25
d 2.220, 40.6 deg, I = 25
d 1.810, 50.4 deg, I = 13
d 2.253, 40.0 deg, I = 13
d 1.577, 58.5 deg, I = 13

For ScTiGa6, a cell relaxed with PBE gives the theoretical X-ray diffraction stick pattern in this record (Cu Kα).
Kinematic intensities with the Lorentz-polarization factor, no thermal factor.

a = 5.7293 Å, b = 5.7293 Å, c = 4.0556 Å
α = 90.00°, β = 90.00°, γ = 90.00°
Sites, in units of the cell vectors:
Sc  0.0000  0.0000  0.0000
Ti  0.5000  0.5000  0.0000
Ga  0.0000  0.5000  0.0000
Ga  0.2536  0.2536  0.5000
Ga  0.2536  0.7464  0.5000
Ga  0.5000  0.0000  0.0000
Ga  0.7464  0.2536  0.5000
Ga  0.7464  0.7464  0.5000

Top 6 peaks for 2θ = 15–90°, most intense first:
d 2.340, 38.5 deg, I = 100
d 2.026, 44.7 deg, I = 48
d 1.222, 78.2 deg, I = 34
d 1.433, 65.1 deg, I = 30
d 1.170, 82.4 deg, I = 10
d 4.053, 21.9 deg, I = 3

For VPdAu, a cell relaxed with PBE gives the theoretical X-ray diffraction stick pattern in this record (Cu Kα).
Kinematic intensities with the Lorentz-polarization factor, no thermal factor.

a = 4.8293 Å, b = 4.8293 Å, c = 4.8982 Å
α = 99.05°, β = 99.05°, γ = 120.42°
Sites, in units of the cell vectors:
V  0.0829  0.9171  0.7500
V  0.9171  0.0829  0.2500
Pd  0.4223  0.5777  0.7500
Pd  0.5777  0.4223  0.2500
Au  0.2442  0.7558  0.2500
Au  0.7558  0.2442  0.7500

Top 6 peaks for 2θ = 15–90°, most intense first:
d 2.277, 39.6 deg, I = 100
d 1.989, 45.6 deg, I = 44
d 2.323, 38.8 deg, I = 36
d 3.561, 25.0 deg, I = 25
d 1.967, 46.2 deg, I = 22
d 1.197, 80.2 deg, I = 17

For Ti2N2O, a cell relaxed with PBE gives the theoretical X-ray diffraction stick pattern in this record (Cu Kα).
Kinematic intensities with the Lorentz-polarization factor, no thermal factor.

a = 8.1997 Å, b = 8.2181 Å, c = 8.2219 Å
α = 109.45°, β = 109.46°, γ = 109.36°
Sites, in units of the cell vectors:
Ti  0.0000  0.0000  0.0000
Ti  0.0015  0.5001  0.4959
Ti  0.0489  0.7111  0.2381
Ti  0.2142  0.1690  0.4397
Ti  0.2468  0.4664  0.2053
Ti  0.2660  0.9618  0.6953
Ti  0.2932  0.7550  0.9470
Ti  0.4669  0.2125  0.1624
Ti  0.4949  0.9140  0.3955
Ti  0.5192  0.4252  0.9063
Ti  0.5390  0.7124  0.7369
Ti  0.7022  0.6732  0.4433
Ti  0.7497  0.4577  0.6907
Ti  0.7616  0.9734  0.2082
Ti  0.7953  0.2576  0.9582
Ti  0.9646  0.2122  0.6516
N  0.0173  0.4498  0.2368
N  0.0275  0.5003  0.7486
N  0.2420  0.6857  0.1478
N  0.2619  0.2334  0.2419
N  0.2959  0.7325  0.6928
N  0.3059  0.9731  0.4769
N  0.4777  0.6897  0.4702
N  0.4790  0.4238  0.6518
N  0.5239  0.0090  0.2035
N  0.5240  0.1873  0.9312
N  0.7116  0.4154  0.4236
N  0.7440  0.9986  0.9594
N  0.7645  0.9220  0.4344
N  0.7914  0.5116  0.9725
N  0.9772  0.9091  0.1844
N  0.9869  0.2362  0.4222
O  0.0272  0.2317  0.9212
O  0.1969  0.9475  0.9187
O  0.2049  0.1908  0.7049
O  0.4926  0.4778  0.1579
O  0.5132  0.6832  0.9724
O  0.7060  0.1892  0.6567
O  0.8068  0.7372  0.7375
O  0.9803  0.7368  0.4660

Top 6 peaks for 2θ = 15–90°, most intense first:
d 2.741, 32.7 deg, I = 100
d 2.733, 32.8 deg, I = 32
d 1.677, 54.7 deg, I = 26
d 3.875, 22.9 deg, I = 26
d 2.372, 37.9 deg, I = 18
d 1.680, 54.6 deg, I = 17

For La4PmSm, a cell relaxed with PBE gives the theoretical X-ray diffraction stick pattern in this record (Cu Kα).
Kinematic intensities with the Lorentz-polarization factor, no thermal factor.

a = 7.3660 Å, b = 6.1162 Å, c = 9.5205 Å
α = 90.00°, β = 90.00°, γ = 90.00°
Sites, in units of the cell vectors:
La  0.0000  0.0000  0.0000
La  0.0140  0.5000  0.3296
La  0.2500  0.5000  0.9796
La  0.4860  0.5000  0.3296
La  0.5000  0.0000  0.0000
La  0.5140  0.5000  0.6704
La  0.7500  0.5000  0.0204
La  0.9860  0.5000  0.6704
Pm  0.2500  0.0000  0.3249
Pm  0.7500  0.0000  0.6751
Sm  0.2500  0.0000  0.6779
Sm  0.7500  0.0000  0.3221

Top 6 peaks for 2θ = 15–90°, most intense first:
d 2.995, 29.8 deg, I = 100
d 2.630, 34.1 deg, I = 88
d 3.173, 28.1 deg, I = 70
d 3.058, 29.2 deg, I = 66
d 2.202, 41.0 deg, I = 51
d 1.413, 66.1 deg, I = 24

For Pm4Pr7Mg, a cell relaxed with PBE gives the theoretical X-ray diffraction stick pattern in this record (Cu Kα).
Kinematic intensities with the Lorentz-polarization factor, no thermal factor.

a = 6.1926 Å, b = 7.0362 Å, c = 10.2186 Å
α = 110.07°, β = 91.32°, γ = 90.04°
Sites, in units of the cell vectors:
Pm  0.2356  0.3652  0.2642
Pm  0.2368  0.8983  0.2637
Pm  0.7632  0.1017  0.7363
Pm  0.7644  0.6348  0.7358
Pr  0.2514  0.3205  0.6398
Pr  0.2516  0.9573  0.9137
Pr  0.2543  0.7844  0.5669
Pr  0.5000  0.5000  0.0000
Pr  0.7457  0.2156  0.4331
Pr  0.7484  0.0427  0.0863
Pr  0.7486  0.6795  0.3602
Mg  0.0000  0.5000  0.0000

Top 6 peaks for 2θ = 15–90°, most intense first:
d 2.929, 30.5 deg, I = 100
d 2.837, 31.5 deg, I = 73
d 3.095, 28.8 deg, I = 73
d 2.871, 31.2 deg, I = 69
d 2.904, 30.8 deg, I = 69
d 2.813, 31.8 deg, I = 58

For Ni7Pt5, a cell relaxed with PBE gives the theoretical X-ray diffraction stick pattern in this record (Cu Kα).
Kinematic intensities with the Lorentz-polarization factor, no thermal factor.

a = 5.3280 Å, b = 5.8921 Å, c = 5.9160 Å
α = 72.22°, β = 63.67°, γ = 76.86°
Sites, in units of the cell vectors:
Ni  0.0000  0.0000  0.0000
Ni  0.0795  0.3180  0.1798
Ni  0.2412  0.9987  0.5152
Ni  0.3243  0.3225  0.6763
Ni  0.4151  0.6569  0.8422
Ni  0.7525  0.9969  0.5083
Ni  0.8358  0.3200  0.6733
Pt  0.1579  0.6588  0.3377
Pt  0.4914  0.0034  0.9912
Pt  0.5844  0.3135  0.1811
Pt  0.6532  0.6613  0.3601
Pt  0.9273  0.6593  0.8401

Top 6 peaks for 2θ = 15–90°, most intense first:
d 2.162, 41.8 deg, I = 100
d 2.169, 41.6 deg, I = 51
d 2.155, 41.9 deg, I = 49
d 1.886, 48.2 deg, I = 33
d 1.872, 48.6 deg, I = 32
d 1.859, 49.0 deg, I = 31